[1]
Structure and simulated XRD peak list of K2Rb2H4Pd (a cell relaxed with PBE; Cu Kα (weighted mean of Kα1 and Kα2)).

Most intense lines, 2θ from 10° to 90°, low angle first:
2theta  intensity
15.19  28
23.62  100
25.55  63
31.43  26
33.65  40
39.69  25
42.73  32
46.16  19
52.49  16
54.48  19

Cell and atoms:
a b c (Å): 7.045 7.045 7.045
angles (deg): 115.37 115.37 98.23
Sites, in units of the cell vectors:
K1 0.188 0.188 0.000
K2 0.812 0.812 0.000
Rb1 0.250 0.750 0.500
Rb2 0.750 0.250 0.500
H1 0.341 0.341 0.683
H2 0.341 0.659 0.000
H3 0.659 0.341 0.000
H4 0.659 0.659 0.317
Pd1 0.500 0.500 0.000

---

[2]
Structure and simulated XRD peak list of K2Sb2HPd2 (a cell relaxed with PBE; Cu Kα (weighted mean of Kα1 and Kα2)).

Most intense lines, 2θ from 10° to 90°, low angle first:
2theta  intensity
14.24  91
20.39  44
21.63  57
29.56  74
33.52  73
35.04  40
36.48  100
38.69  60
44.80  42
52.10  40

Cell and atoms:
a b c (Å): 11.555 4.654 8.249
angles (deg): 90.00 131.08 90.00
Sites, in units of the cell vectors:
K1 0.074 0.000 0.348
K2 0.426 0.500 0.652
K3 0.574 0.500 0.348
K4 0.926 0.000 0.652
Sb1 0.160 0.500 0.081
Sb2 0.340 0.000 0.919
Sb3 0.660 0.000 0.081
Sb4 0.840 0.500 0.919
H1 0.000 0.500 0.500
H2 0.500 0.000 0.500
Pd1 0.186 0.500 0.775
Pd2 0.314 0.000 0.225
Pd3 0.686 0.000 0.775
Pd4 0.814 0.500 0.225

---

[3]
Structure and simulated XRD peak list of KSrH4Pd (a cell relaxed with PBE; Cu Kα (weighted mean of Kα1 and Kα2)).

Most intense lines, 2θ from 10° to 90°, low angle first:
2theta  intensity
11.74  36
21.00  12
30.26  100
34.36  27
35.12  20
35.73  9
38.73  21
49.95  19
59.02  14
60.03  13

Cell and atoms:
a b c (Å): 7.978 7.978 5.110
angles (deg): 90.00 90.00 141.81
Sites, in units of the cell vectors:
K1 0.098 0.902 0.750
K2 0.902 0.098 0.250
Sr1 0.385 0.615 0.750
Sr2 0.615 0.385 0.250
H1 0.000 0.500 0.000
H2 0.000 0.500 0.500
H3 0.103 0.897 0.250
H4 0.450 0.550 0.250
H5 0.500 0.000 0.000
H6 0.500 0.000 0.500
H7 0.550 0.450 0.750
H8 0.897 0.103 0.750
Pd1 0.236 0.764 0.250
Pd2 0.764 0.236 0.750

---

[4]
Structure and simulated XRD peak list of KPrH8Pt2 (a cell relaxed with PBE; Cu Kα (weighted mean of Kα1 and Kα2)).

Most intense lines, 2θ from 10° to 90°, low angle first:
2theta  intensity
24.90  16
27.19  100
32.74  14
34.99  46
42.38  32
42.62  12
51.09  18
56.09  12
58.14  17
68.48  15

Cell and atoms:
a b c (Å): 9.814 9.814 9.814
angles (deg): 25.10 25.10 25.10
Sites, in units of the cell vectors:
K1 0.000 0.000 0.000
Pr1 0.500 0.500 0.500
H1 0.095 0.545 0.545
H2 0.179 0.179 0.179
H3 0.455 0.455 0.905
H4 0.455 0.905 0.455
H5 0.545 0.095 0.545
H6 0.545 0.545 0.095
H7 0.821 0.821 0.821
H8 0.905 0.455 0.455
Pt1 0.240 0.240 0.240
Pt2 0.760 0.760 0.760

---

[5]
Structure and simulated XRD peak list of K2H5Pt (a cell relaxed with PBE; Cu Kα (weighted mean of Kα1 and Kα2)).

Most intense lines, 2θ from 10° to 90°, low angle first:
2theta  intensity
19.03  100
21.76  11
30.97  30
31.49  58
36.60  38
37.50  18
44.37  11
49.40  16
55.42  22
56.39  10

Cell and atoms:
a b c (Å): 5.775 5.775 7.911
angles (deg): 90.00 90.00 90.00
Sites, in units of the cell vectors:
K1 0.000 0.500 0.000
K2 0.000 0.500 0.500
K3 0.500 0.000 0.000
K4 0.500 0.000 0.500
H1 0.000 0.000 0.034
H2 0.203 0.203 0.251
H3 0.203 0.797 0.251
H4 0.297 0.297 0.751
H5 0.297 0.703 0.751
H6 0.500 0.500 0.534
H7 0.703 0.297 0.751
H8 0.703 0.703 0.751
H9 0.797 0.203 0.251
H10 0.797 0.797 0.251
Pt1 0.000 0.000 0.244
Pt2 0.500 0.500 0.744

---

[6]
Structure and simulated XRD peak list of KH3Pt3 (a cell relaxed with PBE; Cu Kα (weighted mean of Kα1 and Kα2)).

Most intense lines, 2θ from 10° to 90°, low angle first:
2theta  intensity
11.27  100
19.58  50
22.65  51
30.12  38
34.27  36
37.70  97
41.47  33
44.44  88
46.26  40
61.14  48

Cell and atoms:
a b c (Å): 9.065 9.065 2.806
angles (deg): 90.00 90.00 120.00
Sites, in units of the cell vectors:
K1 0.333 0.667 0.250
K2 0.667 0.333 0.750
H1 0.019 0.381 0.750
H2 0.361 0.981 0.750
H3 0.381 0.361 0.250
H4 0.619 0.639 0.750
H5 0.639 0.019 0.250
H6 0.981 0.619 0.250
Pt1 0.026 0.751 0.750
Pt2 0.249 0.275 0.750
Pt3 0.275 0.026 0.250
Pt4 0.725 0.974 0.750
Pt5 0.751 0.725 0.250
Pt6 0.974 0.249 0.250

---

> Number 3 is which compound?

KSrH4Pd

---

> Number 2 is which compound?

K2Sb2HPd2